Starting from a PBE-relaxed structure, the X-ray diffraction stick pattern of Sc3Cu2 was computed for CuKα.

Peak list (12 most intense, 2θ = 15–90°, sorted by position)
two_theta  intensity
23.43  233
23.74  302
35.03  900
39.04  1000
39.24  386
40.99  440
41.55  304
48.57  263
58.04  223
60.48  151
65.38  198
74.39  224

Cell and atoms:
a = 5.228 Å, b = 5.228 Å, c = 5.228 Å
α = 130.19°, β = 112.51°, γ = 88.39°
Positions (direct):
Sc 0.000 0.000 0.000
Sc 0.297 0.797 0.500
Sc 0.703 0.203 0.500
Cu 0.291 0.500 0.791
Cu 0.709 0.500 0.209



Starting from a PBE-relaxed structure, the X-ray diffraction stick pattern of In6Hg12Pb was computed for CuKα.

Peak list (12 most intense, 2θ = 15–90°, sorted by position)
two_theta  intensity
25.15  333
27.27  233
31.69  556
33.27  1000
34.04  281
34.57  183
35.68  824
36.51  145
37.08  300
37.78  139
59.58  180
59.85  158

Cell and atoms:
a = 8.101 Å, b = 8.101 Å, c = 8.101 Å
α = 86.92°, β = 86.92°, γ = 86.92°
Positions (direct):
In 0.194 0.379 0.752
In 0.248 0.806 0.621
In 0.379 0.752 0.194
In 0.621 0.248 0.806
In 0.752 0.194 0.379
In 0.806 0.621 0.248
Hg 0.034 0.934 0.300
Hg 0.066 0.700 0.966
Hg 0.097 0.371 0.382
Hg 0.300 0.034 0.934
Hg 0.371 0.382 0.097
Hg 0.382 0.097 0.371
Hg 0.618 0.903 0.629
Hg 0.629 0.618 0.903
Hg 0.700 0.966 0.066
Hg 0.903 0.629 0.618
Hg 0.934 0.300 0.034
Hg 0.966 0.066 0.700
Pb 0.500 0.500 0.500



Starting from a PBE-relaxed structure, the X-ray diffraction stick pattern of Zn2Cd3Ag6 was computed for CuKα.

Peak list (12 most intense, 2θ = 15–90°, sorted by position)
two_theta  intensity
34.95  48
36.85  1000
38.57  227
41.22  46
43.32  568
60.81  41
61.74  213
64.11  113
74.11  118
75.21  176
77.38  48
78.40  92

Cell and atoms:
a = 25.734 Å, b = 25.734 Å, c = 25.734 Å
α = 6.69°, β = 6.69°, γ = 6.69°
Positions (direct):
Zn 0.043 0.043 0.043
Zn 0.957 0.957 0.957
Cd 0.230 0.230 0.230
Cd 0.500 0.500 0.500
Cd 0.770 0.770 0.770
Ag 0.135 0.135 0.135
Ag 0.318 0.318 0.318
Ag 0.405 0.405 0.405
Ag 0.595 0.595 0.595
Ag 0.682 0.682 0.682
Ag 0.865 0.865 0.865



> Which formula does entry 1 have?

Sc3Cu2